1.
The following is a simulated powder diffractogram of CaMgGe. It was derived from a cell relaxed with GGA-PBE, using Cu Kα, 1.54184 Å.
Kinematic intensities with the Lorentz-polarization factor, no thermal factor.

Structural model:
```
CaMgGe
1.0
7.5360 0.0000 0.0000
0.0000 4.4610 0.0000
0.0000 0.0000 8.4193
Ca Mg Ge
4 4 4
Direct
0.0205 0.2500 0.1795
0.4795 0.7500 0.6795
0.5205 0.2500 0.3205
0.9795 0.7500 0.8205
0.1427 0.2500 0.5620
0.3573 0.7500 0.0620
0.6427 0.2500 0.9380
0.8573 0.7500 0.4380
0.2321 0.7500 0.3832
0.2679 0.2500 0.8832
0.7321 0.7500 0.1168
0.7679 0.2500 0.6168
```

Most intense lines, 10 to 90 degrees two-theta, sorted by position:
| Position (°2θ) | I_rel |
| --- | --- |
| 24.22 | 44 |
| 25.50 | 38 |
| 31.54 | 39 |
| 32.88 | 100 |
| 37.87 | 40 |
| 39.79 | 25 |
| 40.44 | 37 |
| 41.88 | 27 |

2.
The following is a simulated powder diffractogram of GaAsRh4. It was derived from a cell relaxed with GGA-PBE, using Cu Kα, 1.54184 Å.
Kinematic intensities with the Lorentz-polarization factor, no thermal factor.

Structural model:
```
GaAsRh4
1.0
4.0834 0.0000 0.0000
0.0000 7.6879 0.0000
0.0000 0.0000 5.5503
Ga As Rh
2 2 8
Direct
0.0000 0.1376 0.0000
0.0000 0.8624 0.5000
0.5000 0.3448 0.5783
0.5000 0.6552 0.0783
0.0000 0.1895 0.4466
0.0000 0.4481 0.8071
0.0000 0.5519 0.3071
0.0000 0.8105 0.9466
0.5000 0.0409 0.7472
0.5000 0.3295 0.1277
0.5000 0.6705 0.6276
0.5000 0.9591 0.2472
```

Most intense lines, 10 to 90 degrees two-theta, sorted by position:
| Position (°2θ) | I_rel |
| --- | --- |
| 35.93 | 38 |
| 38.70 | 23 |
| 39.25 | 61 |
| 40.07 | 32 |
| 41.04 | 86 |
| 41.61 | 100 |
| 44.37 | 61 |
| 48.34 | 26 |

3.
The following is a simulated powder diffractogram of Mg5Zn. It was derived from a cell relaxed with GGA-PBE, using Cu Kα, 1.54184 Å.
Kinematic intensities with the Lorentz-polarization factor, no thermal factor.

Structural model:
```
Mg5Zn
1.0
5.7426 -1.5807 0.0000
5.7426 1.5807 0.0000
-1.7750 0.0000 7.0405
Mg Zn
5 1
Direct
0.0000 0.0000 0.0000
0.0540 0.0540 0.5927
0.3365 0.3365 0.6553
0.6743 0.6743 0.3235
0.7283 0.7283 0.9430
0.3930 0.3930 0.2709
```

Most intense lines, 10 to 90 degrees two-theta, sorted by position:
| Position (°2θ) | I_rel |
| --- | --- |
| 12.57 | 54 |
| 32.85 | 53 |
| 35.90 | 73 |
| 37.36 | 100 |
| 37.53 | 56 |
| 37.78 | 100 |
| 38.35 | 45 |
| 70.43 | 36 |

4.
The following is a simulated powder diffractogram of SrTlO3. It was derived from a cell relaxed with GGA-PBE, using Cu Kα, 1.54184 Å.
Kinematic intensities with the Lorentz-polarization factor, no thermal factor.

Structural model:
```
SrTlO3
1.0
4.2796 0.0000 0.0000
0.0000 4.2796 0.0000
0.0000 0.0000 4.2796
Sr Tl O
1 1 3
Direct
0.0000 0.0000 0.0000
0.5000 0.5000 0.5000
0.0000 0.5000 0.5000
0.5000 0.0000 0.5000
0.5000 0.5000 0.0000
```

Most intense lines, 10 to 90 degrees two-theta, sorted by position:
| Position (°2θ) | I_rel |
| --- | --- |
| 20.76 | 26 |
| 29.52 | 100 |
| 42.23 | 29 |
| 47.51 | 12 |
| 52.37 | 42 |
| 61.26 | 19 |
| 69.45 | 18 |
| 84.76 | 22 |

5.
The following is a simulated powder diffractogram of Al2Se3. It was derived from a cell relaxed with GGA-PBE, using Cu Kα, 1.54184 Å.
Kinematic intensities with the Lorentz-polarization factor, no thermal factor.

Structural model:
```
Al2Se3
1.0
3.4504 1.9921 6.6659
-3.4504 1.9921 6.6659
0.0000 -3.9841 6.6659
Al Se
4 6
Direct
0.0000 0.0000 0.0000
0.2454 0.5570 0.8879
0.5570 0.8879 0.2454
0.8879 0.2454 0.5570
0.1787 0.1787 0.1787
0.3630 0.6914 0.9802
0.5046 0.5046 0.5046
0.6914 0.9802 0.3630
0.8514 0.8514 0.8514
0.9802 0.3630 0.6914
```

Most intense lines, 10 to 90 degrees two-theta, sorted by position:
| Position (°2θ) | I_rel |
| --- | --- |
| 25.82 | 48 |
| 26.75 | 38 |
| 29.14 | 100 |
| 37.52 | 25 |
| 45.54 | 37 |
| 48.75 | 39 |
| 53.60 | 29 |
| 54.98 | 15 |

6.
The following is a simulated powder diffractogram of Na2TaHgF6. It was derived from a cell relaxed with GGA-PBE, using Cu Kα, 1.54184 Å.
Kinematic intensities with the Lorentz-polarization factor, no thermal factor.

Structural model:
```
Na2TaHgF6
1.0
0.0000 5.0321 5.0321
5.0321 0.0000 5.0321
5.0321 5.0321 0.0000
Na Ta Hg F
2 1 1 6
Direct
0.2500 0.2500 0.2500
0.7500 0.7500 0.7500
0.0000 0.0000 0.0000
0.5000 0.5000 0.5000
0.1929 0.1929 0.8071
0.1929 0.8071 0.1929
0.1929 0.8071 0.8071
0.8071 0.1929 0.1929
0.8071 0.1929 0.8071
0.8071 0.8071 0.1929
```

Most intense lines, 10 to 90 degrees two-theta, sorted by position:
| Position (°2θ) | I_rel |
| --- | --- |
| 17.62 | 99 |
| 25.03 | 100 |
| 35.68 | 32 |
| 40.07 | 42 |
| 44.08 | 39 |
| 54.72 | 21 |
| 57.95 | 25 |
| 69.95 | 25 |